Record 1
This entry pairs a crystal structure of Zr4TiOs5 with its theoretical X-ray diffraction stick pattern. Radiation: Cu Kα. Structure: a DFT-relaxed cell (PBE, Alexandria).
Intensities are scaled so that the largest is 100.

a = 3.244 Å, b = 3.244 Å, c = 16.284 Å
α = 90.00°, β = 90.00°, γ = 90.00°
Sites, in units of the cell vectors:
Zr 0.000 0.000 0.102
Zr 0.000 0.000 0.306
Zr 0.000 0.000 0.694
Zr 0.000 0.000 0.898
Ti 0.000 0.000 0.500
Os 0.500 0.500 0.000
Os 0.500 0.500 0.204
Os 0.500 0.500 0.408
Os 0.500 0.500 0.592
Os 0.500 0.500 0.796

Principal peaks in the range 5° ≤ 2θ ≤ 70°, sorted by position:
2θ/deg, d_spacing, I (rel.)
27.38, 3.257, 6
27.49, 3.244, 12
39.22, 2.297, 100
48.54, 1.875, 5
56.51, 1.628, 5
56.75, 1.622, 12
63.97, 1.455, 2
64.17, 1.451, 5

Record 2
This entry pairs a crystal structure of Ta4Mn7Ge6 with its theoretical X-ray diffraction stick pattern. Radiation: Cu Kα. Structure: a DFT-relaxed cell (PBE, Alexandria).
Intensities are scaled so that the largest is 100.

a = 6.743 Å, b = 6.743 Å, c = 6.743 Å
α = 109.47°, β = 109.47°, γ = 109.47°
Sites, in units of the cell vectors:
Ta 0.000 0.000 0.500
Ta 0.000 0.500 0.000
Ta 0.500 0.000 0.000
Ta 0.500 0.500 0.500
Mn 0.000 0.000 0.000
Mn 0.250 0.500 0.750
Mn 0.250 0.750 0.500
Mn 0.500 0.250 0.750
Mn 0.500 0.750 0.250
Mn 0.750 0.250 0.500
Mn 0.750 0.500 0.250
Ge 0.000 0.307 0.307
Ge 0.000 0.693 0.693
Ge 0.307 0.000 0.307
Ge 0.307 0.307 0.000
Ge 0.693 0.000 0.693
Ge 0.693 0.693 0.000

Principal peaks in the range 5° ≤ 2θ ≤ 70°, sorted by position:
2θ/deg, d_spacing, I (rel.)
22.84, 3.893, 22
32.53, 2.753, 50
40.12, 2.248, 100
46.67, 1.946, 55
49.68, 1.835, 8
52.57, 1.741, 19
58.04, 1.589, 12
68.13, 1.376, 28

Record 3
This entry pairs a crystal structure of TbCe3Ga4 with its theoretical X-ray diffraction stick pattern. Radiation: Cu Kα. Structure: a DFT-relaxed cell (PBE, Alexandria).
Intensities are scaled so that the largest is 100.

a = 3.336 Å, b = 3.336 Å, c = 16.580 Å
α = 90.00°, β = 90.00°, γ = 90.00°
Sites, in units of the cell vectors:
Tb 0.000 0.000 0.000
Ce 0.000 0.000 0.246
Ce 0.000 0.000 0.500
Ce 0.000 0.000 0.754
Ga 0.500 0.500 0.121
Ga 0.500 0.500 0.373
Ga 0.500 0.500 0.627
Ga 0.500 0.500 0.879

Principal peaks in the range 5° ≤ 2θ ≤ 70°, sorted by position:
2θ/deg, d_spacing, I (rel.)
21.44, 4.145, 9
26.72, 3.336, 10
34.51, 2.599, 100
38.15, 2.359, 38
43.67, 2.073, 13
55.05, 1.668, 13
59.36, 1.557, 20
66.62, 1.404, 29

Record 4
This entry pairs a crystal structure of MnBe6Ni with its theoretical X-ray diffraction stick pattern. Radiation: Cu Kα. Structure: a DFT-relaxed cell (PBE, Alexandria).
Intensities are scaled so that the largest is 100.

a = 4.139 Å, b = 4.139 Å, c = 4.139 Å
α = 90.00°, β = 90.00°, γ = 90.00°
Sites, in units of the cell vectors:
Mn 0.000 0.000 0.000
Be 0.000 0.245 0.500
Be 0.000 0.755 0.500
Be 0.245 0.500 0.000
Be 0.500 0.000 0.245
Be 0.500 0.000 0.755
Be 0.755 0.500 0.000
Ni 0.500 0.500 0.500

Principal peaks in the range 5° ≤ 2θ ≤ 70°, sorted by position:
2θ/deg, d_spacing, I (rel.)
21.47, 4.139, 1
30.55, 2.927, 100
43.74, 2.069, 27
49.23, 1.851, 3
54.29, 1.690, 54
63.59, 1.463, 11

Record 5
This entry pairs a crystal structure of Tb2Y4In with its theoretical X-ray diffraction stick pattern. Radiation: Cu Kα. Structure: a DFT-relaxed cell (PBE, Alexandria).
Intensities are scaled so that the largest is 100.

a = 5.694 Å, b = 6.728 Å, c = 11.622 Å
α = 90.00°, β = 103.45°, γ = 90.00°
Sites, in units of the cell vectors:
Tb 0.029 0.250 0.476
Tb 0.324 0.750 0.074
Tb 0.676 0.250 0.926
Tb 0.971 0.750 0.524
Y 0.160 0.007 0.787
Y 0.160 0.493 0.787
Y 0.233 0.250 0.069
Y 0.400 0.750 0.372
Y 0.600 0.250 0.628
Y 0.767 0.750 0.931
Y 0.840 0.507 0.213
Y 0.840 0.993 0.213
In 0.457 0.250 0.340
In 0.543 0.750 0.660

Principal peaks in the range 5° ≤ 2θ ≤ 70°, sorted by position:
2θ/deg, d_spacing, I (rel.)
26.50, 3.364, 49
30.94, 2.891, 60
31.43, 2.847, 87
31.68, 2.825, 100
32.03, 2.794, 82
33.06, 2.709, 57
33.21, 2.698, 50
41.75, 2.164, 42

Record 6
This entry pairs a crystal structure of CsBaNa17 with its theoretical X-ray diffraction stick pattern. Radiation: Cu Kα. Structure: a DFT-relaxed cell (PBE, Alexandria).
Intensities are scaled so that the largest is 100.

a = 9.383 Å, b = 9.383 Å, c = 9.383 Å
α = 82.02°, β = 82.02°, γ = 82.02°
Sites, in units of the cell vectors:
Cs 0.000 0.000 0.000
Ba 0.323 0.323 0.323
Na 0.012 0.012 0.503
Na 0.012 0.503 0.012
Na 0.159 0.652 0.652
Na 0.312 0.312 0.802
Na 0.312 0.802 0.312
Na 0.363 0.652 0.954
Na 0.363 0.954 0.652
Na 0.503 0.012 0.012
Na 0.557 0.557 0.557
Na 0.652 0.159 0.652
Na 0.652 0.363 0.954
Na 0.652 0.652 0.159
Na 0.652 0.954 0.363
Na 0.752 0.752 0.752
Na 0.802 0.312 0.312
Na 0.954 0.363 0.652
Na 0.954 0.652 0.363

Principal peaks in the range 5° ≤ 2θ ≤ 70°, sorted by position:
2θ/deg, d_spacing, I (rel.)
14.41, 6.148, 33
20.46, 4.342, 48
25.05, 3.555, 31
25.60, 3.479, 19
29.03, 3.076, 100
29.50, 3.028, 22
41.55, 2.173, 33
51.67, 1.769, 20

Record 7
This entry pairs a crystal structure of Li6CeSn6 with its theoretical X-ray diffraction stick pattern. Radiation: Cu Kα. Structure: a DFT-relaxed cell (PBE, Alexandria).
Intensities are scaled so that the largest is 100.

a = 5.840 Å, b = 5.840 Å, c = 9.388 Å
α = 90.00°, β = 90.00°, γ = 120.00°
Sites, in units of the cell vectors:
Li 0.000 0.500 0.248
Li 0.000 0.500 0.752
Li 0.500 0.000 0.248
Li 0.500 0.000 0.752
Li 0.500 0.500 0.248
Li 0.500 0.500 0.752
Ce 0.000 0.000 0.000
Sn 0.000 0.000 0.348
Sn 0.000 0.000 0.652
Sn 0.333 0.667 0.000
Sn 0.333 0.667 0.500
Sn 0.667 0.333 0.000
Sn 0.667 0.333 0.500

Principal peaks in the range 5° ≤ 2θ ≤ 70°, sorted by position:
2θ/deg, d_spacing, I (rel.)
18.90, 4.694, 38
30.62, 2.920, 100
33.68, 2.661, 30
36.23, 2.479, 54
42.34, 2.135, 16
54.43, 1.686, 20
63.75, 1.460, 14
67.97, 1.379, 21

Record 8
This entry pairs a crystal structure of PmEr2Sc5 with its theoretical X-ray diffraction stick pattern. Radiation: Cu Kα. Structure: a DFT-relaxed cell (PBE, Alexandria).
Intensities are scaled so that the largest is 100.

a = 6.698 Å, b = 6.698 Å, c = 6.698 Å
α = 119.03°, β = 119.03°, γ = 91.70°
Sites, in units of the cell vectors:
Pm 0.000 0.000 0.000
Er 0.000 0.500 0.500
Er 0.500 0.000 0.500
Sc 0.000 0.000 0.500
Sc 0.000 0.500 0.000
Sc 0.500 0.000 0.000
Sc 0.500 0.500 0.000
Sc 0.500 0.500 0.500

Principal peaks in the range 5° ≤ 2θ ≤ 70°, sorted by position:
2θ/deg, d_spacing, I (rel.)
19.02, 4.666, 22
26.22, 3.398, 20
32.60, 2.747, 100
37.42, 2.403, 34
38.59, 2.333, 16
54.85, 1.674, 22
64.48, 1.445, 27
66.07, 1.414, 12

Copy entry 7 word for word.
This entry pairs a crystal structure of Li6CeSn6 with its theoretical X-ray diffraction stick pattern. Radiation: Cu Kα. Structure: a DFT-relaxed cell (PBE, Alexandria).
Intensities are scaled so that the largest is 100.

a = 5.840 Å, b = 5.840 Å, c = 9.388 Å
α = 90.00°, β = 90.00°, γ = 120.00°
Sites, in units of the cell vectors:
Li 0.000 0.500 0.248
Li 0.000 0.500 0.752
Li 0.500 0.000 0.248
Li 0.500 0.000 0.752
Li 0.500 0.500 0.248
Li 0.500 0.500 0.752
Ce 0.000 0.000 0.000
Sn 0.000 0.000 0.348
Sn 0.000 0.000 0.652
Sn 0.333 0.667 0.000
Sn 0.333 0.667 0.500
Sn 0.667 0.333 0.000
Sn 0.667 0.333 0.500

Principal peaks in the range 5° ≤ 2θ ≤ 70°, sorted by position:
2θ/deg, d_spacing, I (rel.)
18.90, 4.694, 38
30.62, 2.920, 100
33.68, 2.661, 30
36.23, 2.479, 54
42.34, 2.135, 16
54.43, 1.686, 20
63.75, 1.460, 14
67.97, 1.379, 21

- What is the formula in the fifth record?
  Tb2Y4In